Structure and computed powder diffractogram of AcAsO3 (a cell relaxed with GGA-PBE; copper Kα).

a b c (Å): 6.693 7.824 9.176
angles (deg): 90.00 106.95 90.00
Space group P2_1/c (No. 14)
Unique sites:
1 Ac 0.112 0.250 0.019
2 As 0.324 0.523 0.315
3 O 0.136 0.563 0.417
4 O 0.171 0.564 0.122
5 O 0.283 0.207 0.805

The 10 most intense peaks (10 to 90 degrees two-theta), sorted by position:
13.83 deg, I = 100; 17.90 deg, I = 97; 18.47 deg, I = 45; 20.24 deg, I = 46; 20.94 deg, I = 52; 26.70 deg, I = 67; 30.17 deg, I = 63; 30.61 deg, I = 85; 31.10 deg, I = 59; 31.55 deg, I = 47

---

Structure and computed powder diffractogram of AcAsO6 (a cell relaxed with GGA-PBE; copper Kα).

a b c (Å): 7.0614 7.0614 7.2017
angles (deg): 90.00 90.00 120.00
Space group R-3m (No. 166, hexagonal axes)
Unique sites:
1 Ac 0.0000 0.0000 0.0000
2 As 0.0000 0.0000 0.5000
3 O 0.0999 0.5500 0.3266

The 10 most intense peaks (10 to 90 degrees two-theta), sorted by position:
19.04 deg, I = 32; 25.22 deg, I = 100; 28.77 deg, I = 69; 38.63 deg, I = 26; 41.01 deg, I = 26; 44.44 deg, I = 17; 46.70 deg, I = 56; 51.79 deg, I = 16; 60.32 deg, I = 16; 65.73 deg, I = 24

---

Structure and computed powder diffractogram of AcPmAsO (a cell relaxed with GGA-PBE; copper Kα).

a b c (Å): 4.587 4.587 9.652
angles (deg): 90.00 90.00 90.00
Space group P4/nmm (No. 129, origin choice 2)
Unique sites:
1 Ac 0.250 0.250 0.113
2 Pm 0.250 0.750 0.500
3 As 0.250 0.250 0.693
4 O 0.250 0.750 0.000

The 10 most intense peaks (10 to 90 degrees two-theta), sorted by position:
26.81 deg, I = 100; 29.04 deg, I = 82; 33.28 deg, I = 29; 34.04 deg, I = 37; 39.28 deg, I = 54; 46.93 deg, I = 41; 48.20 deg, I = 41; 52.93 deg, I = 22; 62.93 deg, I = 22; 76.64 deg, I = 19

---

Structure and computed powder diffractogram of Ac2SbAs2O2 (a cell relaxed with GGA-PBE; copper Kα).

a b c (Å): 4.2879 4.2879 12.2081
angles (deg): 90.00 90.00 120.00
Space group P-3m1 (No. 164)
Unique sites:
1 Ac 0.3333 0.6667 0.1291
2 Sb 0.0000 0.0000 0.5000
3 As 0.0000 0.0000 0.2998
4 O 0.3333 0.6667 0.9251

The 10 most intense peaks (10 to 90 degrees two-theta), sorted by position:
25.07 deg, I = 100; 28.13 deg, I = 52; 32.65 deg, I = 21; 38.17 deg, I = 29; 42.15 deg, I = 39; 44.40 deg, I = 15; 49.67 deg, I = 16; 51.19 deg, I = 14; 57.18 deg, I = 18; 74.42 deg, I = 14